Tl2Se5S4: calculated X-ray diffraction stick pattern (Cu Ka), based on a cell relaxed with GGA-PBE.
No peak broadening, texture or thermal motion is included.

The 10 most intense peaks (10 to 90 degrees two-theta), by angle:
(2 0 -1), 2θ 17.2, I 39
(1 1 -2), 2θ 23.3, I 82
(2 0 2), 2θ 24.5, I 100
(1 1 -3), 2θ 28.7, I 55
(3 1 0), 2θ 30.4, I 52
(3 1 1), 2θ 32.4, I 45
(0 2 1), 2θ 34.8, I 73
(3 1 -3), 2θ 35.7, I 33
(2 2 3), 2θ 46.4, I 40
(4 2 -2), 2θ 49.4, I 35

Structural model:
abc: 10.773 5.280 11.815
angles: 90.00 99.44 90.00
Space group C2/m (No. 12)
Unique sites:
Tl  0.196  0.000  0.364 [4 per cell]
Se  0.000  0.500  0.500 [2 per cell]
Se  0.067  0.229  0.927 [8 per cell]
S  0.081  0.000  0.607 [4 per cell]
S  0.213  0.000  0.748 [4 per cell]